The following is a theoretical XRD peak list of LiFeF5. It was derived from a crystal structure in Alexandria, relaxed with PBE+U, using Cu Kα (weighted mean of Kα1 and Kα2).
Lines closer than 0.1° are merged.

Top 10 peaks for 2θ from 10° to 90°, low angle first:
| 2θ/deg | d/Å | intensity |
| --- | --- | --- |
| 18.98 | 4.675 | 100 |
| 23.49 | 3.787 | 50 |
| 25.79 | 3.455 | 28 |
| 26.35 | 3.383 | 22 |
| 27.71 | 3.219 | 63 |
| 30.08 | 2.971 | 17 |
| 47.46 | 1.916 | 24 |
| 48.04 | 1.894 | 20 |
| 51.96 | 1.760 | 25 |
| 57.23 | 1.610 | 13 |

Crystal structure
a = 5.218 Å, b = 5.218 Å, c = 7.663 Å
α = 112.71°, β = 112.71°, γ = 69.41°
Sites, in units of the cell vectors:
Li (0.027, 0.973, 0.750)
Li (0.973, 0.027, 0.250)
Fe (0.500, 0.500, 0.000)
Fe (0.500, 0.500, 0.500)
F (0.176, 0.756, 0.046)
F (0.222, 0.309, 0.365)
F (0.244, 0.824, 0.454)
F (0.309, 0.222, 0.865)
F (0.384, 0.616, 0.750)
F (0.616, 0.384, 0.250)
F (0.691, 0.778, 0.135)
F (0.756, 0.176, 0.546)
F (0.778, 0.691, 0.635)
F (0.824, 0.244, 0.954)